(1)
Diffraction record for HoNiC2. The PXRD pattern is theoretical, not measured: it uses a structure optimized by DFT (GGA-PBE) and Cu Kα (weighted mean of Kα1 and Kα2).

Main lines, low angle first (2θ = 15–90°):
| 2θ/deg | Rel. int. |
| --- | --- |
| 24.7 | 33 |
| 29.8 | 22 |
| 35.4 | 100 |
| 39.3 | 24 |
| 40.0 | 18 |
| 49.9 | 18 |
| 50.7 | 14 |
| 57.3 | 14 |
| 69.6 | 13 |
| 86.2 | 13 |

Structure:
Cell: 3.565 3.750 3.750 Å, 73.97 90.00 90.00°
Element x y z (fractional)
1 Ho 0.000 0.000 0.000
2 Ni 0.500 0.389 0.389
3 C 0.500 0.548 0.853
4 C 0.500 0.853 0.548

***

(2)
Diffraction record for HoCO4. The PXRD pattern is theoretical, not measured: it uses a structure optimized by DFT (GGA-PBE) and Cu Kα (weighted mean of Kα1 and Kα2).

Main lines, low angle first (2θ = 15–90°):
| 2θ/deg | Rel. int. |
| --- | --- |
| 16.0 | 64 |
| 20.9 | 100 |
| 23.7 | 33 |
| 24.4 | 49 |
| 27.0 | 49 |
| 30.1 | 35 |
| 31.2 | 59 |
| 32.8 | 33 |
| 37.9 | 43 |
| 46.5 | 33 |

Structure:
Cell: 4.847 7.109 8.857 Å, 90.00 90.00 90.00°
Element x y z (fractional)
1 Ho 0.028 0.125 0.161
2 Ho 0.472 0.875 0.661
3 Ho 0.528 0.375 0.839
4 Ho 0.972 0.625 0.339
5 C 0.009 0.046 0.830
6 C 0.491 0.954 0.330
7 C 0.509 0.454 0.170
8 C 0.991 0.546 0.670
9 O 0.032 0.812 0.144
10 O 0.044 0.447 0.787
11 O 0.177 0.618 0.582
12 O 0.231 0.927 0.367
13 O 0.269 0.073 0.867
14 O 0.323 0.382 0.082
15 O 0.456 0.553 0.287
16 O 0.468 0.188 0.644
17 O 0.532 0.688 0.856
18 O 0.544 0.053 0.213
19 O 0.677 0.882 0.418
20 O 0.731 0.573 0.633
21 O 0.769 0.427 0.133
22 O 0.823 0.118 0.918
23 O 0.956 0.947 0.713
24 O 0.968 0.312 0.356

***

(3)
Diffraction record for Ho9Sb5CO4. The PXRD pattern is theoretical, not measured: it uses a structure optimized by DFT (GGA-PBE) and Cu Kα (weighted mean of Kα1 and Kα2).

Main lines, low angle first (2θ = 15–90°):
| 2θ/deg | Rel. int. |
| --- | --- |
| 28.5 | 37 |
| 29.9 | 71 |
| 30.3 | 100 |
| 35.0 | 96 |
| 40.8 | 62 |
| 41.8 | 20 |
| 50.1 | 20 |
| 51.4 | 55 |
| 59.5 | 26 |
| 67.6 | 21 |

Structure:
Cell: 9.898 9.898 8.951 Å, 90.00 90.00 90.00°
Element x y z (fractional)
1 Ho 0.026 0.170 0.003
2 Ho 0.046 0.645 0.663
3 Ho 0.145 0.954 0.337
4 Ho 0.170 0.474 0.003
5 Ho 0.250 0.250 0.686
6 Ho 0.330 0.026 0.003
7 Ho 0.355 0.546 0.337
8 Ho 0.454 0.855 0.663
9 Ho 0.474 0.330 0.003
10 Ho 0.526 0.670 0.997
11 Ho 0.546 0.145 0.337
12 Ho 0.645 0.454 0.663
13 Ho 0.670 0.974 0.997
14 Ho 0.750 0.750 0.314
15 Ho 0.830 0.526 0.997
16 Ho 0.855 0.046 0.663
17 Ho 0.954 0.355 0.337
18 Ho 0.974 0.830 0.997
19 Sb 0.057 0.653 0.308
20 Sb 0.153 0.943 0.692
21 Sb 0.250 0.250 0.326
22 Sb 0.347 0.557 0.692
23 Sb 0.443 0.847 0.308
24 Sb 0.557 0.153 0.692
25 Sb 0.653 0.443 0.308
26 Sb 0.750 0.750 0.674
27 Sb 0.847 0.057 0.308
28 Sb 0.943 0.347 0.692
29 C 0.250 0.250 0.939
30 C 0.750 0.750 0.061
31 O 0.024 0.629 0.908
32 O 0.129 0.976 0.092
33 O 0.371 0.524 0.092
34 O 0.476 0.871 0.908
35 O 0.524 0.129 0.092
36 O 0.629 0.476 0.908
37 O 0.871 0.024 0.908
38 O 0.976 0.371 0.092

***

(4)
Diffraction record for Ho2OsC2. The PXRD pattern is theoretical, not measured: it uses a structure optimized by DFT (GGA-PBE) and Cu Kα (weighted mean of Kα1 and Kα2).

Main lines, low angle first (2θ = 15–90°):
| 2θ/deg | Rel. int. |
| --- | --- |
| 32.6 | 77 |
| 33.0 | 24 |
| 33.4 | 28 |
| 34.2 | 100 |
| 35.2 | 68 |
| 35.5 | 54 |
| 39.4 | 23 |
| 49.3 | 19 |
| 53.8 | 19 |
| 61.4 | 25 |

Structure:
Cell: 6.421 5.105 9.781 Å, 90.00 90.00 90.00°
Element x y z (fractional)
1 Ho 0.024 0.250 0.221
2 Ho 0.185 0.250 0.553
3 Ho 0.315 0.750 0.053
4 Ho 0.476 0.750 0.721
5 Ho 0.524 0.250 0.279
6 Ho 0.685 0.250 0.947
7 Ho 0.815 0.750 0.447
8 Ho 0.976 0.750 0.779
9 Os 0.227 0.250 0.865
10 Os 0.273 0.750 0.365
11 Os 0.727 0.250 0.635
12 Os 0.773 0.750 0.135
13 C 0.037 0.750 0.242
14 C 0.176 0.750 0.554
15 C 0.324 0.250 0.054
16 C 0.463 0.250 0.742
17 C 0.537 0.750 0.258
18 C 0.676 0.750 0.946
19 C 0.824 0.250 0.446
20 C 0.963 0.250 0.758